Diffraction record for Cd3Hg8Bi2. The X-ray powder pattern is theoretical, not measured: it uses a structure optimized by DFT (PBE) and Cu Kα (weighted mean of Kα1 and Kα2).
Neutral-atom scattering factors, no anomalous dispersion.

The 10 most intense peaks (2θ = 15–90°), most intense first:
d 2.949, 2θ = 30.31°, rel. 100
d 2.672, 2θ = 33.54°, rel. 61
d 2.569, 2θ = 34.92°, rel. 31
d 3.253, 2θ = 27.42°, rel. 30
d 2.338, 2θ = 38.51°, rel. 28
d 2.550, 2θ = 35.19°, rel. 28
d 2.531, 2θ = 35.46°, rel. 26
d 2.758, 2θ = 32.47°, rel. 25
d 2.500, 2θ = 35.92°, rel. 23
d 2.029, 2θ = 44.67°, rel. 18

Structural model:
```
Cd3Hg8Bi2
1.0
6.781 -4.675 0.000
6.781 4.675 0.000
-1.713 0.000 5.747
Cd Hg Bi
3 8 2
direct
0.000 0.000 0.000
0.268 0.732 0.500
0.732 0.268 0.500
0.028 0.617 0.847
0.122 0.122 0.663
0.383 0.972 0.153
0.407 0.407 0.100
0.593 0.593 0.900
0.617 0.028 0.847
0.878 0.878 0.337
0.972 0.383 0.153
0.326 0.326 0.545
0.674 0.674 0.455
```

---

Diffraction record for TbSm2Hg. The X-ray powder pattern is theoretical, not measured: it uses a structure optimized by DFT (PBE) and Cu Kα (weighted mean of Kα1 and Kα2).
Neutral-atom scattering factors, no anomalous dispersion.

The 10 most intense peaks (2θ = 15–90°), most intense first:
d 2.836, 2θ = 31.55°, rel. 100
d 2.598, 2θ = 34.53°, rel. 42
d 1.542, 2θ = 60.01°, rel. 32
d 1.692, 2θ = 54.20°, rel. 18
d 1.837, 2θ = 49.63°, rel. 15
d 2.230, 2θ = 40.44°, rel. 10
d 1.418, 2θ = 65.88°, rel. 10
d 1.162, 2θ = 83.16°, rel. 7
d 1.181, 2θ = 81.52°, rel. 7
d 1.102, 2θ = 88.74°, rel. 7

Structural model:
```
TbSm2Hg
1.0
5.195 0.000 0.000
0.000 5.195 0.000
0.000 0.000 8.922
Tb Sm Hg
2 4 2
direct
0.250 0.250 0.219
0.750 0.750 0.781
0.250 0.250 0.778
0.250 0.750 0.500
0.750 0.250 0.500
0.750 0.750 0.222
0.250 0.750 0.000
0.750 0.250 0.000
```

---

Question: Number 2 is which compound?
Answer: TbSm2Hg